For CaCrAu, the PBE geometry in Alexandria gives the computed PXRD pattern in this record (Cu Kα (λ = 1.5418 Å)).

Crystal structure
```
data_CaCrAu
_chemical_formula_sum 'Ca1 Cr1 Au1'
_cell_length_a 4.6262
_cell_length_b 4.6262
_cell_length_c 3.8593
_cell_angle_alpha 90.00
_cell_angle_beta 90.00
_cell_angle_gamma 120.00
_space_group_name_H-M_alt 'P -6 m 2'
_space_group_IT_number 187
_space_group_name_Hall 'P -6 2'
loop_
_atom_site_label
_atom_site_type_symbol
_atom_site_fract_x
_atom_site_fract_y
_atom_site_fract_z
Ca1 Ca 0.0000 0.0000 0.0000
Cr1 Cr 0.6667 0.3333 0.5000
Au1 Au 0.3333 0.6667 0.5000
```

Most intense lines, 2θ = 5–70°, in order of rising 2θ:
22.19°, I 61.9, (1 0 0); 23.05°, I 38.0, (0 0 1); 32.21°, I 100.0, (1 0 1); 38.94°, I 58.8, (1 1 0); 45.27°, I 10.5, (2 0 0); 45.73°, I 38.4, (1 1 1); 47.10°, I 11.3, (0 0 2); 51.39°, I 26.9, (2 0 1); 52.65°, I 13.7, (1 0 2); 61.21°, I 8.9, (2 1 0); 62.70°, I 28.0, (1 1 2); 66.31°, I 25.1, (2 1 1)


For TbPr2SmEr4, the PBE geometry in Alexandria gives the computed PXRD pattern in this record (Cu Kα (λ = 1.5418 Å)).

Crystal structure
```
data_TbPr2SmEr4
_chemical_formula_sum 'Tb1 Pr2 Sm1 Er4'
_cell_length_a 5.0797
_cell_length_b 5.1072
_cell_length_c 9.9968
_cell_angle_alpha 90.00
_cell_angle_beta 90.00
_cell_angle_gamma 90.00
_space_group_name_H-M_alt 'P m m m'
_space_group_IT_number 47
_space_group_name_Hall '-P 2 2'
loop_
_atom_site_label
_atom_site_type_symbol
_atom_site_fract_x
_atom_site_fract_y
_atom_site_fract_z
Tb1 Tb 0.0000 0.0000 0.0000
Pr1 Pr 0.0000 0.0000 0.5000
Pr2 Pr 0.5000 0.5000 0.0000
Sm1 Sm 0.5000 0.5000 0.5000
Er1 Er 0.0000 0.5000 0.2492
Er2 Er 0.5000 0.0000 0.2489
```

Most intense lines, 2θ = 5–70°, in order of rising 2θ:
30.59°, I 100.0, (1 1 2); 35.14°, I 17.3, (0 2 0); 35.34°, I 17.1, (2 0 0); 35.93°, I 16.3, (0 0 4); 50.69°, I 12.3, (2 2 0); 51.14°, I 12.0, (0 2 4); 51.29°, I 11.9, (2 0 4); 60.25°, I 14.6, (1 3 2); 60.51°, I 14.5, (3 1 2); 61.30°, I 13.9, (1 1 6); 63.69°, I 12.4, (2 2 4)


For MgAs, the PBE geometry in Alexandria gives the computed PXRD pattern in this record (Cu Kα (λ = 1.5418 Å)).

Crystal structure
```
data_MgAs
_chemical_formula_sum 'Mg1 As1'
_cell_length_a 3.2467
_cell_length_b 3.7284
_cell_length_c 4.1028
_cell_angle_alpha 69.31
_cell_angle_beta 67.63
_cell_angle_gamma 65.80
_space_group_name_H-M_alt 'P -1'
_space_group_IT_number 2
_space_group_name_Hall '-P 1'
loop_
_atom_site_label
_atom_site_type_symbol
_atom_site_fract_x
_atom_site_fract_y
_atom_site_fract_z
Mg1 Mg 0.0000 0.0000 0.0000
As1 As 0.5000 0.5000 0.5000
```

Most intense lines, 2θ = 5–70°, in order of rising 2θ:
24.13°, I 50.6, (0 0 1); 26.97°, I 38.3, (0 1 0); 31.43°, I 25.8, (1 0 0); 31.84°, I 100.0, (0 1 1); 34.06°, I 83.3, (1 0 1); 34.41°, I 80.9, (1 1 0); 40.69°, I 50.5, (0 1 -1); 45.31°, I 36.9, (1 0 -1); 46.22°, I 34.8, (1 1 2); 48.39°, I 30.3, (1 -1 0); 49.42°, I 28.4, (0 0 2); 49.79°, I 27.8, (1 2 1)


For Ba2Zn3F10, the PBE geometry in Alexandria gives the computed PXRD pattern in this record (Cu Kα (λ = 1.5418 Å)).

Crystal structure
```
data_Ba2Zn3F10
_chemical_formula_sum 'Ba8 Zn12 F40'
_cell_length_a 18.9604
_cell_length_b 6.1157
_cell_length_c 8.0142
_cell_angle_alpha 90.00
_cell_angle_beta 111.41
_cell_angle_gamma 90.00
_space_group_name_H-M_alt 'C 1 2/m 1'
_space_group_IT_number 12
_space_group_name_Hall '-C 2y'
loop_
_atom_site_label
_atom_site_type_symbol
_atom_site_fract_x
_atom_site_fract_y
_atom_site_fract_z
Ba1 Ba 0.1151 0.0000 0.2205
Ba2 Ba 0.2184 0.0000 0.8131
Zn1 Zn 0.0000 0.2428 0.5000
Zn2 Zn 0.0748 0.5000 0.9532
Zn3 Zn 0.1764 0.5000 0.5200
F1 F 0.0000 0.2762 0.0000
F2 F 0.0147 0.0000 0.6853
F3 F 0.0213 0.5000 0.6814
F4 F 0.1125 0.2355 0.5301
F5 F 0.1360 0.5000 0.2474
F6 F 0.1505 0.2597 0.9776
F7 F 0.2376 0.5000 0.7826
F8 F 0.2500 0.2500 0.5000
```

Most intense lines, 2θ = 5–70°, in order of rising 2θ:
26.80°, I 100.0, (3 1 1); 27.37°, I 57.7, (3 1 -2); 28.25°, I 54.2, (6 0 -1); 29.20°, I 26.4, (0 2 0); 38.05°, I 27.8, (0 2 2); 41.10°, I 62.5, (6 2 -1); 48.75°, I 18.4, (9 1 0); 50.33°, I 17.7, (3 3 1); 51.25°, I 17.4, (2 2 3); 54.86°, I 16.2, (4 2 -4); 60.56°, I 13.6, (0 4 0); 64.03°, I 15.6, (8 2 2)


For Li2LaYCl8, the PBE geometry in Alexandria gives the computed PXRD pattern in this record (Cu Kα (λ = 1.5418 Å)).

Crystal structure
```
data_Li2LaYCl8
_chemical_formula_sum 'Li2 La1 Y1 Cl8'
_cell_length_a 6.3161
_cell_length_b 6.3433
_cell_length_c 8.2538
_cell_angle_alpha 90.07
_cell_angle_beta 90.07
_cell_angle_gamma 93.30
_space_group_name_H-M_alt 'P -1'
_space_group_IT_number 2
_space_group_name_Hall '-P 1'
loop_
_atom_site_label
_atom_site_type_symbol
_atom_site_fract_x
_atom_site_fract_y
_atom_site_fract_z
Li1 Li 0.0008 0.0006 0.2361
La1 La 0.5000 0.5000 0.5000
Y1 Y 0.5000 0.5000 0.0000
Cl1 Cl 0.1894 0.1820 0.4992
Cl2 Cl 0.2004 0.1938 0.9997
Cl3 Cl 0.2982 0.6938 0.2376
Cl4 Cl 0.2979 0.6935 0.7624
```

Most intense lines, 2θ = 5–70°, in order of rising 2θ:
14.01°, I 100.0, (0 1 0); 19.28°, I 40.2, (1 -1 0); 20.44°, I 37.1, (1 1 0); 21.53°, I 20.2, (0 0 2); 25.79°, I 20.1, (1 0 -2); 29.06°, I 91.3, (1 -1 2); 32.40°, I 45.7, (1 2 0); 35.77°, I 17.0, (0 2 2); 37.98°, I 35.2, (-2 1 2); 39.19°, I 41.0, (2 -2 0); 48.38°, I 17.7, (0 3 -2); 48.61°, I 19.5, (3 0 2)


For La3Dy2Er3, the PBE geometry in Alexandria gives the computed PXRD pattern in this record (Cu Kα (λ = 1.5418 Å)).

Crystal structure
```
data_La3Dy2Er3
_chemical_formula_sum 'La6 Dy4 Er6'
_cell_length_a 5.0191
_cell_length_b 5.1420
_cell_length_c 20.6106
_cell_angle_alpha 90.00
_cell_angle_beta 90.00
_cell_angle_gamma 90.00
_space_group_name_H-M_alt 'I m m m'
_space_group_IT_number 71
_space_group_name_Hall '-I 2 2'
loop_
_atom_site_label
_atom_site_type_symbol
_atom_site_fract_x
_atom_site_fract_y
_atom_site_fract_z
La1 La 0.0000 0.0000 0.0000
La2 La 0.0000 0.5000 0.1242
Dy1 Dy 0.0000 0.0000 0.2485
Er1 Er 0.0000 0.0000 0.5000
Er2 Er 0.0000 0.5000 0.3722
```

Most intense lines, 2θ = 5–70°, in order of rising 2θ:
21.59°, I 0.6, (0 1 3); 30.33°, I 100.0, (1 1 4); 34.86°, I 34.5, (0 2 0); 35.78°, I 16.2, (2 0 0); 50.13°, I 12.3, (0 2 8); 50.82°, I 23.8, (2 2 0); 59.72°, I 29.1, (1 3 4); 60.95°, I 13.8, (3 1 4); 63.10°, I 12.4, (2 2 8)


For HfHg2F8, the PBE geometry in Alexandria gives the computed PXRD pattern in this record (Cu Kα (λ = 1.5418 Å)).

Crystal structure
```
data_HfHg2F8
_chemical_formula_sum 'Hf2 Hg4 F16'
_cell_length_a 11.6551
_cell_length_b 3.7904
_cell_length_c 8.3695
_cell_angle_alpha 90.00
_cell_angle_beta 105.81
_cell_angle_gamma 90.00
_space_group_name_H-M_alt 'C 1 2/m 1'
_space_group_IT_number 12
_space_group_name_Hall '-C 2y'
loop_
_atom_site_label
_atom_site_type_symbol
_atom_site_fract_x
_atom_site_fract_y
_atom_site_fract_z
Hf1 Hf 0.0000 0.0000 0.0000
Hg1 Hg 0.2346 0.0000 0.6854
F1 F 0.0523 0.5000 0.1355
F2 F 0.0820 0.0000 0.8176
F3 F 0.1646 0.5000 0.5315
F4 F 0.1831 0.0000 0.1355
```

Most intense lines, 2θ = 5–70°, in order of rising 2θ:
15.80°, I 27.9, (2 0 0); 16.62°, I 51.8, (2 0 -1); 21.64°, I 59.8, (2 0 1); 23.43°, I 69.8, (2 0 -2); 28.08°, I 100.0, (1 1 1); 31.92°, I 70.6, (4 0 0); 33.36°, I 58.4, (3 1 -1); 44.29°, I 42.2, (3 1 2); 47.99°, I 24.6, (0 2 0); 51.32°, I 31.1, (3 1 -4); 53.26°, I 26.4, (4 0 3); 54.11°, I 34.1, (1 1 4)


For Ac2CePt, the PBE geometry in Alexandria gives the computed PXRD pattern in this record (Cu Kα (λ = 1.5418 Å)).

Crystal structure
```
data_Ac2CePt
_chemical_formula_sum 'Ac2 Ce1 Pt1'
_cell_length_a 3.8328
_cell_length_b 3.8328
_cell_length_c 8.9731
_cell_angle_alpha 90.00
_cell_angle_beta 90.00
_cell_angle_gamma 90.00
_space_group_name_H-M_alt 'P 4/m m m'
_space_group_IT_number 123
_space_group_name_Hall '-P 4 2'
loop_
_atom_site_label
_atom_site_type_symbol
_atom_site_fract_x
_atom_site_fract_y
_atom_site_fract_z
Ac1 Ac 0.0000 0.0000 0.1996
Ce1 Ce 0.5000 0.5000 0.5000
Pt1 Pt 0.5000 0.5000 0.0000
```

Most intense lines, 2θ = 5–70°, in order of rising 2θ:
9.86°, I 24.5, (0 0 1); 30.68°, I 100.0, (1 0 2); 33.05°, I 52.1, (1 1 0); 38.17°, I 20.1, (1 0 3); 45.15°, I 7.0, (1 1 3); 47.44°, I 19.3, (2 0 0); 52.99°, I 10.0, (1 1 4); 56.63°, I 5.9, (1 0 5); 57.56°, I 34.6, (2 1 2); 62.03°, I 8.9, (1 1 5); 62.45°, I 9.9, (2 1 3); 69.35°, I 6.3, (2 2 0)


For Pr4NdEr7, the PBE geometry in Alexandria gives the computed PXRD pattern in this record (Cu Kα (λ = 1.5418 Å)).

Crystal structure
```
data_Pr4NdEr7
_chemical_formula_sum 'Pr4 Nd1 Er7'
_cell_length_a 7.1638
_cell_length_b 8.0105
_cell_length_c 8.0143
_cell_angle_alpha 72.82
_cell_angle_beta 63.60
_cell_angle_gamma 77.53
_space_group_name_H-M_alt 'P -1'
_space_group_IT_number 2
_space_group_name_Hall '-P 1'
loop_
_atom_site_label
_atom_site_type_symbol
_atom_site_fract_x
_atom_site_fract_y
_atom_site_fract_z
Pr1 Pr 0.0829 0.3323 0.1695
Pr2 Pr 0.3344 0.3319 0.6644
Nd1 Nd 0.5000 0.0000 0.0000
Er1 Er 0.0000 0.0000 0.0000
Er2 Er 0.1667 0.6690 0.3313
Er3 Er 0.2493 0.9990 0.5017
Er4 Er 0.4159 0.6677 0.8346
```

Most intense lines, 2θ = 5–70°, in order of rising 2θ:
30.48°, I 100.0, (0 2 2); 30.65°, I 32.9, (2 2 1); 35.39°, I 67.3, (2 1 3); 50.76°, I 16.2, (2 -2 3); 50.88°, I 8.0, (0 1 4); 50.99°, I 16.0, (4 1 2); 51.11°, I 7.9, (2 4 3); 60.38°, I 14.4, (4 -1 0); 60.49°, I 23.8, (4 0 4); 60.67°, I 14.2, (4 2 0); 60.80°, I 4.7, (4 3 4); 63.38°, I 8.3, (4 -2 2)


For LiTeHO4, the PBE geometry in Alexandria gives the computed PXRD pattern in this record (Cu Kα (λ = 1.5418 Å)).

Crystal structure
```
data_LiTeHO4
_chemical_formula_sum 'Li1 Te1 H1 O4'
_cell_length_a 4.7327
_cell_length_b 3.0230
_cell_length_c 5.0289
_cell_angle_alpha 90.00
_cell_angle_beta 93.43
_cell_angle_gamma 90.00
_space_group_name_H-M_alt 'P 1 m 1'
_space_group_IT_number 6
_space_group_name_Hall 'P -2y'
loop_
_atom_site_label
_atom_site_type_symbol
_atom_site_fract_x
_atom_site_fract_y
_atom_site_fract_z
Li1 Li 0.0000 0.0000 0.0000
Te1 Te 0.4616 0.5000 0.4882
H1 H 0.5304 0.5000 0.9636
O1 O 0.2418 0.0000 0.6371
O2 O 0.2538 0.5000 0.1592
O3 O 0.6878 0.5000 0.8336
O4 O 0.7020 0.0000 0.3714
```

Most intense lines, 2θ = 5–70°, in order of rising 2θ:
17.67°, I 97.2, (0 0 1); 18.78°, I 100.0, (1 0 0); 25.10°, I 48.0, (1 0 -1); 26.67°, I 36.4, (1 0 1); 29.55°, I 26.9, (0 1 0); 34.64°, I 18.7, (0 1 1); 35.25°, I 40.9, (1 1 0); 39.15°, I 45.6, (1 1 -1); 41.75°, I 22.0, (1 0 2); 51.55°, I 30.2, (2 1 -1); 53.29°, I 14.6, (2 1 1); 63.58°, I 19.5, (0 1 3)


For LaYErAg, the PBE geometry in Alexandria gives the computed PXRD pattern in this record (Cu Kα (λ = 1.5418 Å)).

Crystal structure
```
data_LaYErAg
_chemical_formula_sum 'La1 Y1 Er1 Ag1'
_cell_length_a 3.6456
_cell_length_b 3.6456
_cell_length_c 8.7734
_cell_angle_alpha 90.00
_cell_angle_beta 90.00
_cell_angle_gamma 90.00
_space_group_name_H-M_alt 'P 4 m m'
_space_group_IT_number 99
_space_group_name_Hall 'P 4 -2'
loop_
_atom_site_label
_atom_site_type_symbol
_atom_site_fract_x
_atom_site_fract_y
_atom_site_fract_z
La1 La 0.0000 0.0000 0.0000
Y1 Y 0.5000 0.5000 0.6998
Er1 Er 0.5000 0.5000 0.2941
Ag1 Ag 0.0000 0.0000 0.4906
```

Most intense lines, 2θ = 5–70°, in order of rising 2θ:
10.08°, I 13.9, (0 0 1); 26.48°, I 10.3, (1 0 1); 31.92°, I 100.0, (1 0 2); 34.80°, I 47.2, (1 1 0); 39.50°, I 9.1, (1 0 3); 41.16°, I 7.1, (0 0 4); 46.99°, I 8.1, (1 1 3); 50.04°, I 16.6, (2 0 0); 54.97°, I 11.9, (1 1 4); 58.37°, I 6.7, (1 0 5); 60.59°, I 31.1, (2 1 2); 66.72°, I 6.6, (2 0 4)


For Rb3NaGe2I9, the PBE geometry in Alexandria gives the computed PXRD pattern in this record (Cu Kα (λ = 1.5418 Å)).

Crystal structure
```
data_Rb3NaGe2I9
_chemical_formula_sum 'Rb3 Na1 Ge2 I9'
_cell_length_a 8.4578
_cell_length_b 8.4578
_cell_length_c 10.4160
_cell_angle_alpha 90.00
_cell_angle_beta 90.00
_cell_angle_gamma 120.00
_space_group_name_H-M_alt 'P -3 m 1'
_space_group_IT_number 164
_space_group_name_Hall '-P 3 2"'
loop_
_atom_site_label
_atom_site_type_symbol
_atom_site_fract_x
_atom_site_fract_y
_atom_site_fract_z
Rb1 Rb 0.0000 0.0000 0.0000
Rb2 Rb 0.3333 0.6667 0.6766
Na1 Na 0.0000 0.0000 0.5000
Ge1 Ge 0.3333 0.6667 0.1677
I1 I 0.0000 0.5000 0.0000
I2 I 0.1731 0.3462 0.3233
```

Most intense lines, 2θ = 5–70°, in order of rising 2θ:
14.79°, I 21.5, (1 0 1); 25.66°, I 29.2, (0 0 3); 25.79°, I 87.9, (0 2 1); 29.82°, I 100.0, (2 0 2); 42.60°, I 37.0, (0 2 4); 42.77°, I 36.6, (2 2 0); 50.40°, I 13.6, (2 0 5); 50.56°, I 39.1, (4 0 1); 52.73°, I 6.1, (0 0 6); 53.01°, I 19.0, (0 4 2); 61.95°, I 11.7, (4 0 4); 68.36°, I 10.4, (2 4 1)